Diffraction record for Li3V2Fe3O10. The powder XRD pattern is calculated, not measured: it uses a crystal structure in Alexandria, relaxed with GGA+U and Cu Kα.
Intensities are scaled so that the largest is 100.

Largest 8 diffraction maxima, sorted by position, 15° ≤ 2θ ≤ 90°:
2θ (°), d (Å), I/Imax, hkl
18.04, 4.916, 38, 0 1 0
18.19, 4.878, 100, 1 0 0
22.37, 3.974, 21, 1 1 1
26.78, 3.328, 41, 0 1 2
30.35, 2.945, 28, -1 1 1
39.69, 2.271, 64, 1 1 -2
43.89, 2.063, 52, 2 1 3
44.43, 2.039, 47, -1 2 1

Crystal structure
```
Li3V2Fe3O10
1.0
5.1400 0.0000 0.0000
1.1550 5.0455 0.0000
2.1616 1.7000 7.3678
Li V Fe O
3 2 3 10
Direct
0.0000 0.0000 0.0000 Li
0.4749 0.6904 0.1133 Li
0.5251 0.3096 0.8867 Li
0.0168 0.3791 0.1892 V
0.9832 0.6209 0.8108 V
0.0377 0.1914 0.5975 Fe
0.5000 0.5000 0.5000 Fe
0.9623 0.8086 0.4025 Fe
0.1867 0.0369 0.1754 O
0.2109 0.6058 0.9819 O
0.2154 0.8221 0.5604 O
0.2308 0.4531 0.3594 O
0.2554 0.3065 0.7291 O
0.7446 0.6935 0.2709 O
0.7692 0.5469 0.6406 O
0.7846 0.1779 0.4396 O
0.7891 0.3942 0.0181 O
0.8133 0.9631 0.8246 O
```